The following is a computed XRD peak list of BaLiP2O6. It was derived from a PBE-relaxed structure, using a wavelength of 1.5418 Å.
Peak positions follow from Bragg's law for the DFT cell and can differ from measured ones.

Main lines, sorted by position (2θ = 10–90°):
Position (°2θ)	Rel. int.
15.28	180
19.41	753
27.84	1000
31.90	550
32.73	357
36.30	307
38.33	309
45.58	204
55.48	194
58.43	286

Cell and atoms:
abc: 6.6049 6.6049 6.6049
angles: 48.95 48.95 48.95
Fractional positions:
Ba: 0.0000 0.0000 0.0000
Li: 0.5000 0.5000 0.5000
P: 0.2252 0.2252 0.2252
P: 0.7748 0.7748 0.7748
O: 0.0592 0.5245 0.6906
O: 0.3094 0.9408 0.4755
O: 0.4755 0.3094 0.9408
O: 0.5245 0.6906 0.0592
O: 0.6906 0.0592 0.5245
O: 0.9408 0.4755 0.3094